The following is a computed PXRD pattern of NaLiMg14O15. It was derived from a GGA-PBE-relaxed structure, using Cu Kα.
Intensities are scaled so that the largest is 100.

Peak list (10 most intense, 2θ = 10–90°, low angle first)
hkl, 2θ (°), I/Imax
0 1 1, 14.59, 3
0 1 2, 23.25, 4
0 0 3, 31.38, 4
1 2 2, 36.30, 16
0 4 0, 41.87, 51
2 0 0, 42.32, 100
2 4 0, 61.04, 55
2 0 4, 61.39, 27
3 2 2, 73.46, 7
2 4 4, 77.08, 24

Crystal structure
Cell lengths 4.2700, 8.6310, 8.5465 Å; angles 90.00, 90.00, 90.00 degrees
Space group Pmm2 (No. 25)
Symmetry-distinct sites (fractional):
Na 0.0000 0.0000 0.0000
Li 0.0000 0.5000 0.9996
Mg 0.0000 0.0000 0.4764
Mg 0.0000 0.2537 0.2328
Mg 0.0000 0.2771 0.7538
Mg 0.0000 0.5000 0.4918
Mg 0.5000 0.0000 0.2306
Mg 0.5000 0.0000 0.7507
Mg 0.5000 0.2499 0.4955
Mg 0.5000 0.2562 0.9936
Mg 0.5000 0.5000 0.2355
Mg 0.5000 0.5000 0.7520
O 0.0000 0.0000 0.2526
O 0.0000 0.2388 0.5083
O 0.0000 0.2567 0.9880
O 0.0000 0.5000 0.2559
O 0.0000 0.5000 0.7309
O 0.5000 0.0000 0.5125
O 0.5000 0.0000 0.9810
O 0.5000 0.2414 0.7442
O 0.5000 0.2468 0.2462
O 0.5000 0.5000 0.4977
O 0.5000 0.5000 0.9918